Starting from DFT lattice parameters and positions (GGA+U), the PXRD pattern of Li2SiNiO4 was calculated for Cu Kα, 1.54184 Å.

Structure:
```
Li2SiNiO4
1.0
4.936 0.000 0.000
0.000 5.491 0.000
-4.908 0.000 6.248
Li Si Ni O
4 2 2 8
direct
0.000 0.150 0.000
0.000 0.850 0.500
0.252 0.323 0.753
0.252 0.677 0.253
0.491 0.173 0.501
0.491 0.827 0.001
0.743 0.336 0.241
0.743 0.664 0.741
0.152 0.181 0.496
0.152 0.819 0.996
0.385 0.317 0.284
0.385 0.683 0.784
0.597 0.113 0.003
0.597 0.887 0.503
0.816 0.312 0.721
0.816 0.688 0.221
```

Most intense lines, 5 to 70 degrees two-theta, by angle:
two_theta	Rel. int.
21.5	100
22.9	59
23.0	68
28.2	32
32.6	34
33.0	67
36.4	60
37.7	27
58.4	39
66.3	30

***

Starting from DFT lattice parameters and positions (GGA+U), the PXRD pattern of Li3SiNiO5 was calculated for Cu Kα, 1.54184 Å.

Structure:
```
Li3SiNiO5
1.0
5.432 0.000 0.000
0.000 15.766 0.000
0.000 0.000 4.910
Li Si Ni O
12 4 4 20
direct
0.164 0.004 0.000
0.166 0.593 0.997
0.174 0.196 0.006
0.326 0.696 0.506
0.334 0.093 0.497
0.336 0.504 0.500
0.664 0.496 0.000
0.666 0.907 0.997
0.674 0.304 0.006
0.826 0.804 0.506
0.834 0.407 0.497
0.836 0.996 0.500
0.166 0.402 0.004
0.334 0.902 0.504
0.666 0.098 0.004
0.834 0.598 0.504
0.173 0.800 0.998
0.327 0.300 0.498
0.673 0.700 0.998
0.827 0.200 0.498
0.120 0.601 0.598
0.157 0.203 0.598
0.183 0.394 0.661
0.185 0.985 0.600
0.189 0.813 0.616
0.311 0.313 0.116
0.315 0.485 0.100
0.317 0.894 0.161
0.343 0.703 0.098
0.380 0.101 0.098
0.620 0.899 0.598
0.657 0.297 0.598
0.683 0.106 0.661
0.685 0.515 0.600
0.689 0.687 0.616
0.811 0.187 0.116
0.815 0.015 0.100
0.817 0.606 0.161
0.843 0.797 0.098
0.880 0.399 0.098
```

Most intense lines, 5 to 70 degrees two-theta, by angle:
two_theta	Rel. int.
11.2	73
18.9	46
19.9	100
24.8	81
32.8	63
33.0	36
36.6	55
37.7	40
58.8	36
66.6	31

***

Starting from DFT lattice parameters and positions (GGA+U), the PXRD pattern of Li2SiNiO4 was calculated for Cu Kα, 1.54184 Å.

Structure:
```
Li2SiNiO4
1.0
5.196 0.000 0.000
0.252 5.436 0.000
0.001 0.006 6.217
Li Si Ni O
4 2 2 8
direct
0.000 0.000 0.000
0.118 0.479 0.248
0.495 0.852 0.749
0.613 0.331 0.500
0.628 0.343 0.999
0.986 0.988 0.499
0.118 0.498 0.739
0.496 0.833 0.239
0.020 0.288 0.500
0.111 0.865 0.720
0.115 0.856 0.283
0.499 0.476 0.782
0.502 0.467 0.220
0.593 0.043 0.000
0.670 0.958 0.494
0.943 0.373 0.993
```

Most intense lines, 5 to 70 degrees two-theta, by angle:
two_theta	Rel. int.
21.7	86
22.3	100
24.3	25
27.3	29
33.0	38
33.2	47
33.6	34
34.6	47
59.0	30
61.3	24

***

Starting from DFT lattice parameters and positions (GGA+U), the PXRD pattern of Li5Si2NiO8 was calculated for Cu Kα, 1.54184 Å.

Structure:
```
Li5Si2NiO8
1.0
3.675 -3.717 0.000
3.675 3.717 0.000
-0.025 0.000 6.292
Li Si Ni O
5 2 1 8
direct
0.000 0.000 0.000
0.353 0.647 0.000
0.513 0.113 0.240
0.887 0.487 0.760
0.991 0.009 0.500
0.511 0.133 0.753
0.867 0.489 0.247
0.361 0.639 0.500
0.002 0.618 0.466
0.378 0.019 0.965
0.382 0.998 0.534
0.453 0.453 0.736
0.547 0.547 0.264
0.820 0.117 0.748
0.883 0.180 0.252
0.981 0.622 0.035
```

Most intense lines, 5 to 70 degrees two-theta, by angle:
two_theta	Rel. int.
14.1	32
17.0	31
22.1	100
23.9	15
27.9	14
28.2	27
33.2	66
34.3	65
60.7	17
60.9	17

***

Starting from DFT lattice parameters and positions (GGA+U), the PXRD pattern of Li2Ni2SnO6 was calculated for Cu Kα, 1.54184 Å.

Structure:
```
Li2Ni2SnO6
1.0
4.407 -2.662 0.000
4.407 2.662 0.000
0.000 0.000 10.123
Li Ni Sn O
4 4 2 12
direct
0.136 0.364 0.250
0.364 0.136 0.750
0.636 0.864 0.250
0.864 0.636 0.750
0.163 0.163 0.000
0.337 0.337 0.500
0.663 0.663 0.500
0.837 0.837 0.000
0.000 0.000 0.500
0.500 0.500 0.000
0.038 0.324 0.609
0.147 0.853 0.098
0.176 0.462 0.891
0.324 0.038 0.391
0.353 0.647 0.598
0.462 0.176 0.109
0.538 0.824 0.891
0.647 0.353 0.402
0.676 0.962 0.609
0.824 0.538 0.109
0.853 0.147 0.902
0.962 0.676 0.391
```

Most intense lines, 5 to 70 degrees two-theta, by angle:
two_theta	Rel. int.
17.5	100
21.4	8
33.7	15
35.5	7
36.0	39
38.2	23
44.3	39
49.7	13
58.0	20
61.7	18

***

Starting from DFT lattice parameters and positions (GGA+U), the PXRD pattern of Li4Ni3Sn5O16 was calculated for Cu Kα, 1.54184 Å.

Structure:
```
Li4Ni3Sn5O16
1.0
6.043 0.000 0.000
2.990 5.355 0.000
0.021 0.170 9.828
Li Ni Sn O
4 3 5 16
direct
0.000 0.000 0.000
0.020 0.991 0.508
0.327 0.300 0.606
0.655 0.656 0.093
0.162 0.149 0.281
0.332 0.807 0.785
0.825 0.321 0.782
0.161 0.638 0.282
0.321 0.316 0.002
0.654 0.146 0.284
0.656 0.628 0.512
0.820 0.815 0.784
0.015 0.971 0.691
0.023 0.470 0.150
0.141 0.163 0.892
0.158 0.670 0.903
0.322 0.806 0.401
0.326 0.310 0.397
0.476 0.017 0.150
0.481 0.465 0.153
0.500 0.935 0.656
0.529 0.470 0.666
0.639 0.656 0.889
0.671 0.149 0.898
0.831 0.812 0.407
0.832 0.298 0.402
0.958 0.492 0.660
0.993 0.980 0.185
```

Most intense lines, 5 to 70 degrees two-theta, by angle:
two_theta	Rel. int.
18.1	75
19.0	100
19.3	60
32.1	34
34.2	61
34.6	50
34.8	44
34.9	46
35.3	48
43.9	34

***

Starting from DFT lattice parameters and positions (GGA+U), the PXRD pattern of LiNiSnO4 was calculated for Cu Kα, 1.54184 Å.

Structure:
```
LiNiSnO4
1.0
5.168 0.000 0.000
0.000 3.033 0.000
-1.571 0.000 5.082
Li Ni Sn O
1 1 1 4
direct
0.000 0.000 0.000
0.500 0.500 0.000
0.500 0.000 0.500
0.270 0.500 0.268
0.301 0.000 0.799
0.699 0.000 0.201
0.730 0.500 0.732
```

Most intense lines, 5 to 70 degrees two-theta, by angle:
two_theta	Rel. int.
18.0	100
34.4	29
34.6	19
36.5	22
41.6	37
42.9	18
46.7	14
55.0	12
60.5	11
62.0	10

***

Starting from DFT lattice parameters and positions (GGA+U), the PXRD pattern of Li4Ni5SnO12 was calculated for Cu Kα, 1.54184 Å.

Structure:
```
Li4Ni5SnO12
1.0
2.547 -4.336 0.000
2.547 4.336 0.000
-1.437 0.000 9.865
Li Ni Sn O
4 5 1 12
direct
0.064 0.716 0.744
0.284 0.936 0.256
0.716 0.064 0.744
0.936 0.284 0.256
0.000 0.000 0.500
0.166 0.834 0.000
0.335 0.665 0.500
0.665 0.335 0.500
0.834 0.166 0.000
0.500 0.500 0.000
0.023 0.387 0.602
0.106 0.106 0.892
0.200 0.560 0.113
0.319 0.319 0.398
0.387 0.023 0.602
0.440 0.800 0.887
0.560 0.200 0.113
0.613 0.977 0.398
0.681 0.681 0.602
0.800 0.440 0.887
0.894 0.894 0.108
0.977 0.613 0.398
```

Most intense lines, 5 to 70 degrees two-theta, by angle:
two_theta	Rel. int.
18.0	100
35.6	12
36.3	20
37.7	28
42.6	10
43.8	18
47.1	20
47.7	9
57.3	11
63.6	10

***

Starting from DFT lattice parameters and positions (GGA+U), the PXRD pattern of Li5Ni5Sn2O12 was calculated for Cu Kα, 1.54184 Å.

Structure:
```
Li5Ni5Sn2O12
1.0
2.608 -4.526 0.000
2.608 4.526 0.000
-1.822 0.000 9.794
Li Ni Sn O
5 5 2 12
direct
0.000 0.000 0.000
0.273 0.230 0.750
0.413 0.085 0.246
0.770 0.727 0.250
0.915 0.587 0.754
0.089 0.409 0.247
0.176 0.824 0.500
0.508 0.492 0.500
0.591 0.911 0.753
0.666 0.334 0.000
0.333 0.667 0.000
0.841 0.159 0.500
0.052 0.693 0.126
0.129 0.126 0.377
0.220 0.535 0.620
0.307 0.948 0.874
0.392 0.386 0.118
0.465 0.780 0.380
0.550 0.191 0.620
0.614 0.608 0.882
0.706 0.064 0.116
0.809 0.450 0.380
0.874 0.871 0.623
0.936 0.294 0.884
```

Most intense lines, 5 to 70 degrees two-theta, by angle:
two_theta	Rel. int.
18.1	67
19.6	44
23.2	61
31.3	27
34.9	23
36.6	41
42.4	100
42.7	50
61.5	59
61.9	29

***

Starting from DFT lattice parameters and positions (GGA+U), the PXRD pattern of Li4V3Ni2Sn3O16 was calculated for Cu Kα, 1.54184 Å.

Structure:
```
Li4V3Ni2Sn3O16
1.0
6.090 0.000 0.000
-3.045 5.298 0.000
-0.036 -0.039 9.784
Li V Ni Sn O
4 3 2 3 16
direct
0.000 0.000 0.000
0.001 0.007 0.507
0.309 0.694 0.895
0.651 0.358 0.401
0.157 0.851 0.223
0.329 0.213 0.728
0.837 0.685 0.715
0.308 0.673 0.498
0.645 0.342 0.996
0.149 0.354 0.220
0.646 0.844 0.218
0.803 0.175 0.718
0.016 0.541 0.342
0.141 0.328 0.608
0.151 0.858 0.618
0.305 0.167 0.111
0.309 0.686 0.103
0.447 0.980 0.338
0.469 0.538 0.346
0.482 0.487 0.837
0.495 0.055 0.842
0.641 0.354 0.608
0.669 0.831 0.610
0.823 0.165 0.099
0.846 0.695 0.112
0.936 0.516 0.839
0.988 0.012 0.325
0.993 0.014 0.817
```

Most intense lines, 5 to 70 degrees two-theta, by angle:
two_theta	Rel. int.
18.1	100
19.1	92
24.8	30
34.7	32
35.1	31
35.2	64
44.0	24
44.1	38
58.8	29
60.6	31